The following is a calculated powder XRD pattern of KCu3PdSe4. It was derived from the PBE geometry in OQMD, using Cu Kα (λ = 1.5418 Å).

The 10 most intense peaks (10° ≤ 2θ ≤ 90°), sorted by position:
d = 6.102 Å, I 57.2
d = 4.315 Å, I 12.2
d = 3.523 Å, I 71.9
d = 2.491 Å, I 9.9
d = 2.157 Å, I 100.0
d = 2.034 Å, I 13.4
d = 1.840 Å, I 28.5
d = 1.692 Å, I 16.0
d = 1.525 Å, I 14.6
d = 1.246 Å, I 26.8

Structure:
```
KCu3PdSe4
1.0
6.1018 0.0000 0.0000
0.0000 6.1018 0.0000
0.0000 0.0000 6.1018
K Cu Pd Se
1 3 1 4
Direct
0.0000 0.0000 0.0000
0.0000 0.5000 0.5000
0.5000 0.0000 0.5000
0.5000 0.5000 0.0000
0.5000 0.5000 0.5000
0.2735 0.2735 0.2735
0.2735 0.7265 0.7265
0.7265 0.2735 0.7265
0.7265 0.7265 0.2735
```